1.
Starting from a DFT-relaxed cell (GGA-PBE, OQMD), the PXRD pattern of Sr3Sn4Pd2Au2 was simulated for copper Kα.
Kinematic intensities with the Lorentz-polarization factor, no thermal factor.

Crystal structure
Unit cell a=4.634 b=4.780 c=26.760 alpha=90.00 beta=90.00 gamma=90.00
Space group Immm (No. 71)
Asymmetric unit:
Sr (0.000, 0.000, 0.000) (multiplicity 2)
Sr (0.000, 0.500, 0.152) (multiplicity 4)
Sn (0.000, 0.000, 0.447) (multiplicity 4)
Sn (0.000, 0.500, 0.298) (multiplicity 4)
Pd (0.000, 0.000, 0.251) (multiplicity 4)
Au (0.000, 0.500, 0.400) (multiplicity 4)

The 8 most intense peaks (10° ≤ 2θ ≤ 90°), by intensity:
29.99 deg, I = 100
30.31 deg, I = 49
19.44 deg, I = 45
43.39 deg, I = 45
37.64 deg, I = 44
38.87 deg, I = 41
35.56 deg, I = 40
55.21 deg, I = 30

2.
Starting from a DFT-relaxed cell (GGA-PBE, OQMD), the PXRD pattern of SrPd3Au2 was simulated for copper Kα.
Kinematic intensities with the Lorentz-polarization factor, no thermal factor.

Crystal structure
Unit cell a=5.5500 b=5.5500 c=4.5272 alpha=90.00 beta=90.00 gamma=120.00
Space group P6/mmm (No. 191)
Asymmetric unit:
Sr (0.0000, 0.0000, 0.0000) (multiplicity 1)
Pd (0.0000, 0.5000, 0.5000) (multiplicity 3)
Au (0.3333, 0.6667, 0.0000) (multiplicity 2)

The 8 most intense peaks (10° ≤ 2θ ≤ 90°), by intensity:
38.03 deg, I = 100
18.46 deg, I = 41
42.59 deg, I = 39
32.26 deg, I = 31
39.82 deg, I = 27
61.39 deg, I = 25
81.34 deg, I = 21
71.11 deg, I = 17

3.
Starting from a DFT-relaxed cell (GGA-PBE, OQMD), the PXRD pattern of TePdAu2 was simulated for copper Kα.
Kinematic intensities with the Lorentz-polarization factor, no thermal factor.

Crystal structure
Unit cell a=5.478 b=5.573 c=5.623 alpha=90.16 beta=95.44 gamma=90.88
Space group P-1 (No. 2)
Asymmetric unit:
Te (0.005, 0.250, 0.249) (multiplicity 2)
Pd (0.480, 0.258, 0.797) (multiplicity 2)
Au (0.024, 0.750, 0.251) (multiplicity 2)
Au (0.492, 0.757, 0.700) (multiplicity 2)

The 8 most intense peaks (10° ≤ 2θ ≤ 90°), by intensity:
32.13 deg, I = 100
32.85 deg, I = 91
31.98 deg, I = 84
47.00 deg, I = 38
46.22 deg, I = 35
44.12 deg, I = 33
46.07 deg, I = 31
45.86 deg, I = 31

4.
Starting from a DFT-relaxed cell (GGA-PBE, OQMD), the PXRD pattern of TlTe4PdAu3 was simulated for copper Kα.
Kinematic intensities with the Lorentz-polarization factor, no thermal factor.

Crystal structure
Unit cell a=6.547 b=6.547 c=6.547 alpha=90.00 beta=90.00 gamma=90.00
Space group P-43m (No. 215)
Asymmetric unit:
Tl (0.000, 0.000, 0.000) (multiplicity 1)
Te (0.262, 0.262, 0.262) (multiplicity 4)
Pd (0.500, 0.500, 0.500) (multiplicity 1)
Au (0.000, 0.500, 0.500) (multiplicity 3)

The 8 most intense peaks (10° ≤ 2θ ≤ 90°), by intensity:
38.91 deg, I = 100
23.54 deg, I = 90
45.98 deg, I = 46
70.47 deg, I = 34
61.77 deg, I = 19
56.20 deg, I = 17
88.32 deg, I = 15
75.45 deg, I = 14

5.
Starting from a DFT-relaxed cell (GGA-PBE, OQMD), the PXRD pattern of YPd2Au was simulated for copper Kα.
Kinematic intensities with the Lorentz-polarization factor, no thermal factor.

Crystal structure
Unit cell a=6.695 b=6.695 c=6.695 alpha=90.00 beta=90.00 gamma=90.00
Space group F-43m (No. 216)
Asymmetric unit:
Y (0.000, 0.000, 0.000) (multiplicity 4)
Pd (0.000, 0.000, 0.500) (multiplicity 4)
Pd (0.250, 0.250, 0.750) (multiplicity 4)
Au (0.250, 0.250, 0.250) (multiplicity 4)

The 8 most intense peaks (10° ≤ 2θ ≤ 90°), by intensity:
38.02 deg, I = 100
68.69 deg, I = 35
54.86 deg, I = 17
81.30 deg, I = 11
23.01 deg, I = 7
26.63 deg, I = 6
44.91 deg, I = 4
61.99 deg, I = 2

6.
Starting from a DFT-relaxed cell (GGA-PBE, OQMD), the PXRD pattern of PmAu2 was simulated for copper Kα.
Kinematic intensities with the Lorentz-polarization factor, no thermal factor.

Crystal structure
Unit cell a=5.395 b=5.395 c=9.189 alpha=90.00 beta=90.00 gamma=90.00
Space group Fmmm (No. 69)
Asymmetric unit:
Pm (0.000, 0.000, 0.000) (multiplicity 4)
Au (0.000, 0.000, 0.334) (multiplicity 8)

The 8 most intense peaks (10° ≤ 2θ ≤ 90°), by intensity:
37.66 deg, I = 100
33.21 deg, I = 70
62.29 deg, I = 47
47.68 deg, I = 26
70.74 deg, I = 16
79.44 deg, I = 12
80.42 deg, I = 12
82.05 deg, I = 11

7.
Starting from a DFT-relaxed cell (GGA-PBE, OQMD), the PXRD pattern of Pm3Si4Au4 was simulated for copper Kα.
Kinematic intensities with the Lorentz-polarization factor, no thermal factor.

Crystal structure
Unit cell a=25.562 b=4.281 c=4.239 alpha=90.00 beta=99.54 gamma=90.00
Space group C2/m (No. 12)
Asymmetric unit:
Pm (0.000, 0.000, 0.000) (multiplicity 2)
Pm (0.148, 0.500, 0.148) (multiplicity 4)
Si (0.047, 0.500, 0.545) (multiplicity 4)
Si (0.191, 0.000, 0.691) (multiplicity 4)
Au (0.094, 0.000, 0.595) (multiplicity 4)
Au (0.250, 0.000, 0.250) (multiplicity 4)

The 8 most intense peaks (10° ≤ 2θ ≤ 90°), by intensity:
32.96 deg, I = 100
32.63 deg, I = 22
42.22 deg, I = 19
42.65 deg, I = 19
21.10 deg, I = 16
27.49 deg, I = 14
67.04 deg, I = 13
61.58 deg, I = 13

8.
Starting from a DFT-relaxed cell (GGA-PBE, OQMD), the PXRD pattern of PmZn2Au4 was simulated for copper Kα.
Kinematic intensities with the Lorentz-polarization factor, no thermal factor.

Crystal structure
Unit cell a=8.865 b=7.037 c=5.344 alpha=90.00 beta=126.92 gamma=90.00
Space group C2/m (No. 12)
Asymmetric unit:
Pm (0.000, 0.000, 0.000) (multiplicity 2)
Zn (0.000, 0.500, 0.249) (multiplicity 4)
Au (0.198, 0.200, 0.698) (multiplicity 8)

The 8 most intense peaks (10° ≤ 2θ ≤ 90°), by intensity:
35.97 deg, I = 100
41.81 deg, I = 69
42.07 deg, I = 65
33.54 deg, I = 60
42.46 deg, I = 60
33.00 deg, I = 50
32.89 deg, I = 47
38.20 deg, I = 37

Q: What is the formula in the sixth record?
A: PmAu2